The following is a theoretical powder X-ray diffraction pattern of Ce3Bi2P2Rh4. It was derived from a PBE-relaxed structure, using Cu Kα (λ = 1.5418 Å).

Cell and atoms:
```
data_Ce3Bi2P2Rh4
_chemical_formula_sum 'Ce3 Bi2 P2 Rh4'
_symmetry_space_group_name_H-M 'P -3 m 1'
_symmetry_Int_Tables_number 164
_symmetry_space_group_name_Hall '-P 3 2"'
_cell_length_a 4.4305
_cell_length_b 4.4305
_cell_length_c 13.5272
_cell_angle_alpha 90.00
_cell_angle_beta 90.00
_cell_angle_gamma 120.00
loop_
_atom_site_label
_atom_site_type_symbol
_atom_site_fract_x
_atom_site_fract_y
_atom_site_fract_z
_atom_site_occupancy
Ce1 Ce 0.0000 0.0000 0.0000 1
Ce2 Ce 0.0000 0.0000 0.2547 1
Bi1 Bi 0.3333 0.6667 0.5742 1
P1 P 0.3333 0.6667 0.1454 1
Rh1 Rh 0.3333 0.6667 0.3462 1
Rh2 Rh 0.3333 0.6667 0.8747 1
```

Main lines, by angle (2θ = 10–80°):
| 2theta | I/Imax |
| --- | --- |
| 24.11 | 34 |
| 26.71 | 14 |
| 30.59 | 46 |
| 35.38 | 98 |
| 40.74 | 100 |
| 51.79 | 11 |
| 55.03 | 28 |
| 63.93 | 11 |
| 70.68 | 26 |
| 74.15 | 20 |

The following is a theoretical powder X-ray diffraction pattern of Ac6Pr3Dy2. It was derived from a PBE-relaxed structure, using Cu Kα (λ = 1.5418 Å).

Cell and atoms:
```
data_Ac6Pr3Dy2
_chemical_formula_sum 'Ac6 Pr3 Dy2'
_symmetry_space_group_name_H-M 'P -1'
_symmetry_Int_Tables_number 2
_cell_length_a 6.630
_cell_length_b 8.579
_cell_length_c 8.590
_cell_angle_alpha 107.27
_cell_angle_beta 97.69
_cell_angle_gamma 104.92
loop_
_symmetry_equiv_pos_as_xyz
'x,y,z'
'-x,-y,-z'
loop_
_atom_site_label
_atom_site_type_symbol
_atom_site_fract_x
_atom_site_fract_y
_atom_site_fract_z
_atom_site_occupancy
Ac1 Ac 0.054 0.181 0.403 1
Ac2 Ac 0.136 0.549 0.231 1
Ac3 Ac 0.321 0.265 0.870 1
Pr1 Pr 0.407 0.644 0.686 1
Pr2 Pr 0.500 0.000 0.500 1
Dy1 Dy 0.231 0.914 0.046 1
```

Main lines, by angle (2θ = 10–80°):
| 2theta | I/Imax |
| --- | --- |
| 28.48 | 100 |
| 28.56 | 33 |
| 32.97 | 45 |
| 33.13 | 23 |
| 47.41 | 33 |
| 56.10 | 15 |
| 56.20 | 20 |
| 56.32 | 15 |
| 56.43 | 10 |
| 58.99 | 9 |

The following is a theoretical powder X-ray diffraction pattern of Pm5Y2Tm3. It was derived from a PBE-relaxed structure, using Cu Kα (λ = 1.5418 Å).

Cell and atoms:
```
data_Pm5Y2Tm3
_chemical_formula_sum 'Pm20 Y8 Tm12'
_symmetry_space_group_name_H-M 'C 1 2/c 1'
_symmetry_Int_Tables_number 15
_cell_length_a 10.632
_cell_length_b 14.760
_cell_length_c 10.045
_cell_angle_alpha 90.00
_cell_angle_beta 121.95
_cell_angle_gamma 90.00
loop_
_symmetry_equiv_pos_as_xyz
'x,y,z'
'-x,-y,-z'
'-x,y,-z+1/2'
'x,-y,z+1/2'
'x+1/2,y+1/2,z'
'-x+1/2,-y+1/2,-z'
'-x+1/2,y+1/2,-z+1/2'
'x+1/2,-y+1/2,z+1/2'
loop_
_atom_site_label
_atom_site_type_symbol
_atom_site_fract_x
_atom_site_fract_y
_atom_site_fract_z
_atom_site_occupancy
Pm1 Pm 0.000 0.018 0.250 1
Pm2 Pm 0.000 0.229 0.250 1
Pm3 Pm 0.000 0.269 0.750 1
Pm4 Pm 0.249 0.379 0.249 1
Y1 Y 0.153 0.378 0.556 1
Tm1 Tm 0.000 0.478 0.750 1
Tm2 Tm 0.155 0.124 0.059 1
```

Main lines, by angle (2θ = 10–80°):
| 2theta | I/Imax |
| --- | --- |
| 20.84 | 18 |
| 29.46 | 80 |
| 31.32 | 100 |
| 32.09 | 18 |
| 33.74 | 55 |
| 35.84 | 21 |
| 48.98 | 20 |
| 58.81 | 17 |
| 60.78 | 20 |
| 62.51 | 27 |

The following is a theoretical powder X-ray diffraction pattern of Sr2PbAu7. It was derived from a PBE-relaxed structure, using Cu Kα (λ = 1.5418 Å).

Cell and atoms:
```
data_Sr2PbAu7
_chemical_formula_sum 'Sr2 Pb1 Au7'
_symmetry_space_group_name_H-M 'P -4 m 2'
_symmetry_Int_Tables_number 115
_cell_length_a 4.293
_cell_length_b 4.293
_cell_length_c 13.211
_cell_angle_alpha 90.00
_cell_angle_beta 90.00
_cell_angle_gamma 90.00
loop_
_symmetry_equiv_pos_as_xyz
'x,y,z'
'y,-x,-z'
'-x,-y,z'
'-y,x,-z'
'-x,y,z'
'-y,-x,-z'
'x,-y,z'
'y,x,-z'
loop_
_atom_site_label
_atom_site_type_symbol
_atom_site_fract_x
_atom_site_fract_y
_atom_site_fract_z
_atom_site_occupancy
Sr1 Sr 0.000 0.500 0.232 1
Pb1 Pb 0.000 0.000 0.500 1
Au1 Au 0.000 0.000 0.000 1
Au2 Au 0.000 0.500 0.655 1
Au3 Au 0.000 0.500 0.859 1
Au4 Au 0.500 0.500 0.000 1
Au5 Au 0.500 0.500 0.500 1
```

Main lines, by angle (2θ = 10–80°):
| 2theta | I/Imax |
| --- | --- |
| 13.40 | 21 |
| 21.77 | 39 |
| 32.46 | 100 |
| 40.07 | 33 |
| 40.35 | 65 |
| 42.09 | 54 |
| 59.52 | 21 |
| 60.21 | 19 |
| 70.86 | 22 |
| 75.75 | 22 |

The following is a theoretical powder X-ray diffraction pattern of Pr3Si2Sn2Pt4. It was derived from a PBE-relaxed structure, using Cu Kα (λ = 1.5418 Å).

Cell and atoms:
```
data_Pr3Si2Sn2Pt4
_chemical_formula_sum 'Pr3 Si2 Sn2 Pt4'
_symmetry_space_group_name_H-M 'P -3 m 1'
_symmetry_Int_Tables_number 164
_symmetry_space_group_name_Hall '-P 3 2"'
_cell_length_a 4.5081
_cell_length_b 4.5081
_cell_length_c 13.9355
_cell_angle_alpha 90.00
_cell_angle_beta 90.00
_cell_angle_gamma 120.00
loop_
_atom_site_label
_atom_site_type_symbol
_atom_site_fract_x
_atom_site_fract_y
_atom_site_fract_z
_atom_site_occupancy
Pr1 Pr 0.0000 0.0000 0.0000 1
Pr2 Pr 0.0000 0.0000 0.2656 1
Si1 Si 0.3333 0.6667 0.1512 1
Sn1 Sn 0.3333 0.6667 0.5645 1
Pt1 Pt 0.3333 0.6667 0.3678 1
Pt2 Pt 0.3333 0.6667 0.8690 1
```

Main lines, by angle (2θ = 10–80°):
| 2theta | I/Imax |
| --- | --- |
| 23.67 | 16 |
| 26.16 | 66 |
| 29.90 | 24 |
| 34.50 | 100 |
| 40.00 | 100 |
| 45.44 | 37 |
| 53.83 | 28 |
| 69.13 | 27 |
| 72.65 | 18 |
| 76.48 | 16 |

The following is a theoretical powder X-ray diffraction pattern of InTePb2. It was derived from a PBE-relaxed structure, using Cu Kα (λ = 1.5418 Å).

Cell and atoms:
```
data_InTePb2
_chemical_formula_sum 'In2 Te2 Pb4'
_symmetry_space_group_name_H-M 'C m m 2'
_symmetry_Int_Tables_number 35
_cell_length_a 3.909
_cell_length_b 5.548
_cell_length_c 11.167
_cell_angle_alpha 90.00
_cell_angle_beta 90.00
_cell_angle_gamma 90.00
loop_
_symmetry_equiv_pos_as_xyz
'x,y,z'
'-x,-y,z'
'-x,y,z'
'x,-y,z'
'x+1/2,y+1/2,z'
'-x+1/2,-y+1/2,z'
'-x+1/2,y+1/2,z'
'x+1/2,-y+1/2,z'
loop_
_atom_site_label
_atom_site_type_symbol
_atom_site_fract_x
_atom_site_fract_y
_atom_site_fract_z
_atom_site_occupancy
In1 In 0.000 0.000 0.000 1
Te1 Te 0.000 0.500 0.234 1
Pb1 Pb 0.000 0.000 0.490 1
Pb2 Pb 0.000 0.500 0.747 1
```

Main lines, by angle (2θ = 10–80°):
| 2theta | I/Imax |
| --- | --- |
| 32.06 | 20 |
| 32.28 | 100 |
| 46.13 | 15 |
| 46.46 | 7 |
| 57.29 | 15 |
| 57.56 | 23 |
| 57.70 | 8 |
| 67.55 | 12 |
| 76.61 | 7 |
| 77.11 | 7 |

The following is a theoretical powder X-ray diffraction pattern of UPt3Rh. It was derived from a PBE-relaxed structure, using Cu Kα (λ = 1.5418 Å).

Cell and atoms:
```
data_UPt3Rh
_chemical_formula_sum 'U2 Pt6 Rh2'
_symmetry_space_group_name_H-M 'P m m n'
_symmetry_Int_Tables_number 59
_cell_length_a 4.351
_cell_length_b 7.107
_cell_length_c 5.806
_cell_angle_alpha 90.00
_cell_angle_beta 90.00
_cell_angle_gamma 90.00
loop_
_symmetry_equiv_pos_as_xyz
'x,y,z'
'-x,-y,-z'
'-x+1/2,-y+1/2,z'
'x+1/2,y+1/2,-z'
'x+1/2,-y,-z'
'-x+1/2,y,z'
'-x,y+1/2,-z'
'x,-y+1/2,z'
loop_
_atom_site_label
_atom_site_type_symbol
_atom_site_fract_x
_atom_site_fract_y
_atom_site_fract_z
_atom_site_occupancy
U1 U 0.250 0.250 0.230 1
Pt1 Pt 0.250 0.063 0.746 1
Pt2 Pt 0.250 0.750 0.475 1
Rh1 Rh 0.250 0.750 0.015 1
```

Main lines, by angle (2θ = 10–80°):
| 2theta | I/Imax |
| --- | --- |
| 36.12 | 85 |
| 39.41 | 100 |
| 41.15 | 30 |
| 41.51 | 42 |
| 43.50 | 16 |
| 58.29 | 16 |
| 59.88 | 21 |
| 74.32 | 16 |
| 77.31 | 16 |
| 78.00 | 24 |

The following is a theoretical powder X-ray diffraction pattern of CsNbI6. It was derived from a PBE-relaxed structure, using Cu Kα (λ = 1.5418 Å).

Cell and atoms:
```
data_CsNbI6
_chemical_formula_sum 'Cs4 Nb4 I24'
_symmetry_space_group_name_H-M 'C 1 2/c 1'
_symmetry_Int_Tables_number 15
_cell_length_a 13.767
_cell_length_b 7.405
_cell_length_c 14.281
_cell_angle_alpha 90.00
_cell_angle_beta 101.50
_cell_angle_gamma 90.00
loop_
_symmetry_equiv_pos_as_xyz
'x,y,z'
'-x,-y,-z'
'-x,y,-z+1/2'
'x,-y,z+1/2'
'x+1/2,y+1/2,z'
'-x+1/2,-y+1/2,-z'
'-x+1/2,y+1/2,-z+1/2'
'x+1/2,-y+1/2,z+1/2'
loop_
_atom_site_label
_atom_site_type_symbol
_atom_site_fract_x
_atom_site_fract_y
_atom_site_fract_z
_atom_site_occupancy
Cs1 Cs 0.000 0.080 0.250 1
Nb1 Nb 0.250 0.250 0.000 1
I1 I 0.074 0.396 0.897 1
I2 I 0.149 0.062 0.533 1
I3 I 0.211 0.403 0.167 1
```

Main lines, by angle (2θ = 10–80°):
| 2theta | I/Imax |
| --- | --- |
| 24.54 | 29 |
| 26.96 | 56 |
| 27.61 | 100 |
| 27.78 | 93 |
| 28.33 | 89 |
| 36.38 | 44 |
| 37.21 | 23 |
| 42.59 | 47 |
| 43.51 | 23 |
| 52.62 | 23 |